1.
Structure and theoretical powder diffractogram of Ti4CoNi3 (a DFT-relaxed cell (GGA-PBE, Alexandria); CuKα).
Neutral-atom scattering factors, no anomalous dispersion.

Main lines, most intense first (2θ from 10° to 90°):
2θ = 43.2°, rel. 100; 2θ = 42.6°, rel. 29; 2θ = 40.7°, rel. 22; 2θ = 78.5°, rel. 15; 2θ = 60.4°, rel. 13; 2θ = 42.1°, rel. 8; 2θ = 81.0°, rel. 7; 2θ = 65.1°, rel. 7

Atomic structure:
```
Ti4CoNi3
1.0
8.481 0.000 0.000
0.000 5.728 0.000
0.000 0.000 4.438
Ti Co Ni
8 2 6
direct
0.000 0.248 0.000
0.000 0.752 0.000
0.250 0.247 0.450
0.250 0.753 0.450
0.500 0.248 0.000
0.500 0.752 0.000
0.750 0.247 0.550
0.750 0.753 0.550
0.000 0.000 0.500
0.500 0.000 0.500
0.000 0.500 0.500
0.250 0.000 0.916
0.250 0.500 0.920
0.500 0.500 0.500
0.750 0.000 0.084
0.750 0.500 0.080
```



2.
Structure and theoretical powder diffractogram of LiLaGa6 (a DFT-relaxed cell (GGA-PBE, Alexandria); CuKα).
Neutral-atom scattering factors, no anomalous dispersion.

Main lines, most intense first (2θ from 10° to 90°):
2θ = 37.5°, rel. 100; 2θ = 39.8°, rel. 45; 2θ = 29.5°, rel. 32; 2θ = 40.8°, rel. 29; 2θ = 31.4°, rel. 24; 2θ = 34.0°, rel. 17; 2θ = 72.0°, rel. 14; 2θ = 26.3°, rel. 12

Atomic structure:
```
LiLaGa6
1.0
4.427 0.000 0.000
0.000 6.790 0.000
0.000 0.000 5.266
Li La Ga
1 1 6
direct
0.000 0.000 0.000
0.500 0.500 0.699
0.000 0.198 0.511
0.000 0.500 0.153
0.000 0.802 0.511
0.500 0.000 0.703
0.500 0.212 0.190
0.500 0.788 0.190
```



3.
Structure and theoretical powder diffractogram of Cs2Rb6S (a DFT-relaxed cell (GGA-PBE, Alexandria); CuKα).
Neutral-atom scattering factors, no anomalous dispersion.

Main lines, most intense first (2θ from 10° to 90°):
2θ = 20.9°, rel. 100; 2θ = 26.8°, rel. 55; 2θ = 20.3°, rel. 41; 2θ = 36.2°, rel. 33; 2θ = 31.7°, rel. 31; 2θ = 41.8°, rel. 30; 2θ = 21.7°, rel. 28; 2θ = 24.7°, rel. 27

Atomic structure:
```
Cs2Rb6S
1.0
4.968 2.868 8.747
-4.968 2.868 8.747
0.000 -5.736 8.747
Cs Rb S
2 6 1
direct
0.000 0.000 0.000
0.193 0.193 0.193
0.129 0.674 0.674
0.523 0.523 0.963
0.523 0.963 0.523
0.674 0.129 0.674
0.674 0.674 0.129
0.963 0.523 0.523
0.749 0.749 0.749
```



4.
Structure and theoretical powder diffractogram of Ac4Zn3Ge (a DFT-relaxed cell (GGA-PBE, Alexandria); CuKα).
Neutral-atom scattering factors, no anomalous dispersion.

Main lines, most intense first (2θ from 10° to 90°):
2θ = 29.0°, rel. 100; 2θ = 29.6°, rel. 58; 2θ = 25.0°, rel. 45; 2θ = 36.0°, rel. 36; 2θ = 51.2°, rel. 26; 2θ = 39.2°, rel. 24; 2θ = 50.0°, rel. 24; 2θ = 29.8°, rel. 23

Atomic structure:
```
Ac4Zn3Ge
1.0
4.420 0.000 0.000
0.000 4.594 0.000
0.000 0.000 12.004
Ac Zn Ge
4 3 1
direct
0.000 0.000 0.000
0.000 0.500 0.493
0.500 0.000 0.708
0.500 0.500 0.210
0.000 0.500 0.791
0.500 0.000 0.415
0.500 0.500 0.917
0.000 0.000 0.281
```



5.
Structure and theoretical powder diffractogram of Na3AgAu2 (a DFT-relaxed cell (GGA-PBE, Alexandria); CuKα).
Neutral-atom scattering factors, no anomalous dispersion.

Main lines, most intense first (2θ from 10° to 90°):
2θ = 23.9°, rel. 100; 2θ = 39.8°, rel. 38; 2θ = 37.9°, rel. 36; 2θ = 37.4°, rel. 35; 2θ = 43.2°, rel. 28; 2θ = 22.0°, rel. 17; 2θ = 15.8°, rel. 15; 2θ = 50.3°, rel. 14

Atomic structure:
```
Na3AgAu2
1.0
-2.989 8.074 2.939
2.989 -8.074 2.939
2.989 8.074 -2.939
Na Ag Au
6 2 4
direct
0.182 0.235 0.417
0.250 0.250 0.000
0.318 0.735 0.053
0.682 0.265 0.947
0.750 0.750 0.000
0.818 0.765 0.583
0.250 0.750 0.500
0.750 0.250 0.500
0.127 0.730 0.857
0.373 0.230 0.603
0.627 0.770 0.397
0.873 0.270 0.143
```



6.
Structure and theoretical powder diffractogram of MnAlCu14 (a DFT-relaxed cell (GGA-PBE, Alexandria); CuKα).
Neutral-atom scattering factors, no anomalous dispersion.

Main lines, most intense first (2θ from 10° to 90°):
2θ = 45.7°, rel. 100; 2θ = 43.2°, rel. 50; 2θ = 46.0°, rel. 47; 2θ = 41.5°, rel. 37; 2θ = 88.9°, rel. 22; 2θ = 41.9°, rel. 19; 2θ = 52.1°, rel. 19; 2θ = 73.2°, rel. 18

Atomic structure:
```
MnAlCu14
1.0
8.384 0.000 0.000
0.000 2.611 4.468
0.000 -2.611 4.468
Mn Al Cu
1 1 14
direct
0.000 0.000 0.000
0.000 0.504 0.504
0.000 0.001 0.500
0.000 0.500 0.001
0.249 0.334 0.334
0.253 0.333 0.835
0.253 0.833 0.833
0.253 0.835 0.333
0.500 0.166 0.166
0.500 0.167 0.664
0.500 0.664 0.167
0.500 0.665 0.665
0.747 0.333 0.835
0.747 0.833 0.833
0.747 0.835 0.333
0.751 0.334 0.334
```



7.
Structure and theoretical powder diffractogram of Tb8Sm4Pu (a DFT-relaxed cell (GGA-PBE, Alexandria); CuKα).
Neutral-atom scattering factors, no anomalous dispersion.

Main lines, most intense first (2θ from 10° to 90°):
2θ = 32.6°, rel. 100; 2θ = 58.1°, rel. 29; 2θ = 46.7°, rel. 18; 2θ = 58.3°, rel. 9; 2θ = 77.6°, rel. 8; 2θ = 77.8°, rel. 8; 2θ = 19.8°, rel. 7; 2θ = 16.1°, rel. 7

Atomic structure:
```
Tb8Sm4Pu
1.0
5.505 3.178 4.476
-5.505 3.178 4.476
0.000 -6.356 4.476
Tb Sm Pu
8 4 1
direct
0.243 0.243 0.243
0.243 0.243 0.755
0.243 0.755 0.243
0.245 0.757 0.757
0.755 0.243 0.243
0.757 0.245 0.757
0.757 0.757 0.245
0.757 0.757 0.757
0.000 0.000 0.000
0.000 0.500 0.500
0.500 0.000 0.500
0.500 0.500 0.000
0.500 0.500 0.500
```



Q: What is the formula in the fourth record?
A: Ac4Zn3Ge



Copy entry 3 word for word.
Structure and theoretical powder diffractogram of Cs2Rb6S (a DFT-relaxed cell (GGA-PBE, Alexandria); CuKα).
Neutral-atom scattering factors, no anomalous dispersion.

Main lines, most intense first (2θ from 10° to 90°):
2θ = 20.9°, rel. 100; 2θ = 26.8°, rel. 55; 2θ = 20.3°, rel. 41; 2θ = 36.2°, rel. 33; 2θ = 31.7°, rel. 31; 2θ = 41.8°, rel. 30; 2θ = 21.7°, rel. 28; 2θ = 24.7°, rel. 27

Atomic structure:
```
Cs2Rb6S
1.0
4.968 2.868 8.747
-4.968 2.868 8.747
0.000 -5.736 8.747
Cs Rb S
2 6 1
direct
0.000 0.000 0.000
0.193 0.193 0.193
0.129 0.674 0.674
0.523 0.523 0.963
0.523 0.963 0.523
0.674 0.129 0.674
0.674 0.674 0.129
0.963 0.523 0.523
0.749 0.749 0.749
```